The following is a theoretical powder XRD pattern of Tl2Cd4Cu. It was derived from a cell relaxed with PBE, using Cu Kα (weighted mean of Kα1 and Kα2).

Structural model:
```
data_Tl2Cd4Cu
_chemical_formula_sum 'Tl4 Cd8 Cu2'
_symmetry_space_group_name_H-M 'I 4/m m m'
_symmetry_Int_Tables_number 139
_symmetry_space_group_name_Hall '-I 4 2'
_cell_length_a 5.0716
_cell_length_b 5.0716
_cell_length_c 15.5718
_cell_angle_alpha 90.00
_cell_angle_beta 90.00
_cell_angle_gamma 90.00
loop_
_atom_site_label
_atom_site_type_symbol
_atom_site_fract_x
_atom_site_fract_y
_atom_site_fract_z
Tl1 Tl 0.0000 0.0000 0.1393
Cd1 Cd 0.0000 0.0000 0.3328
Cd2 Cd 0.0000 0.5000 0.0000
Cu1 Cu 0.0000 0.0000 0.5000
```

Peak list (10 most intense, 2θ from 10° to 90°, in order of rising 2θ)
2θ 24.8, d 3.586, I = 58
2θ 27.4, d 3.257, I = 51
2θ 33.8, d 2.654, I = 25
2θ 34.0, d 2.638, I = 100
2θ 34.6, d 2.595, I = 31
2θ 35.4, d 2.536, I = 93
2θ 50.3, d 1.814, I = 42
2θ 50.9, d 1.793, I = 32
2θ 62.6, d 1.483, I = 34
2θ 63.0, d 1.475, I = 21